No. 1
Starting from the PBE geometry in Alexandria, the XRD peak list of K4GeSe4O4 was computed for Cu Kα X-rays.
Kinematic intensities with the Lorentz-polarization factor, no thermal factor.

Structure:
Cell: 7.4619 8.6162 12.5850 Å, 91.04 107.04 109.23°
Element x y z (fractional)
K (0.0099, 0.4254, 0.1854)
K (0.0622, 0.2973, 0.5073)
K (0.2580, 0.1147, 0.2894)
K (0.3257, 0.2049, 0.9969)
K (0.6743, 0.7951, 0.0031)
K (0.7420, 0.8853, 0.7106)
K (0.9378, 0.7027, 0.4927)
K (0.9901, 0.5746, 0.8146)
Ge (0.4524, 0.7910, 0.2396)
Ge (0.5476, 0.2090, 0.7604)
Se (0.1801, 0.7983, 0.0888)
Se (0.3284, 0.9420, 0.7883)
Se (0.3710, 0.7598, 0.4319)
Se (0.4349, 0.4448, 0.7841)
Se (0.5651, 0.5552, 0.2159)
Se (0.6290, 0.2402, 0.5681)
Se (0.6716, 0.0580, 0.2117)
Se (0.8199, 0.2017, 0.9112)
O (0.0759, 0.8522, 0.7010)
O (0.1797, 0.5704, 0.4026)
O (0.2572, 0.9011, 0.4378)
O (0.3431, 0.3757, 0.1782)
O (0.6569, 0.6243, 0.8218)
O (0.7428, 0.0989, 0.5622)
O (0.8203, 0.4296, 0.5974)
O (0.9241, 0.1478, 0.2990)

Principal peaks in the range 10 to 90 degrees two-theta, low angle first:
two_theta	intensity
13.25	80
13.96	100
14.85	52
17.08	70
22.07	80
22.35	53
25.02	97
27.56	68
28.11	57
33.34	86

=====

No. 2
Starting from the PBE geometry in Alexandria, the XRD peak list of LaZnCd11 was computed for Cu Kα X-rays.
Kinematic intensities with the Lorentz-polarization factor, no thermal factor.

Structure:
Cell: 7.6308 7.6308 7.5998 Å, 98.56 98.56 134.09°
Element x y z (fractional)
La (0.0000, 0.0000, 0.0000)
Zn (0.5000, 0.5000, 0.5000)
Cd (0.0000, 0.0000, 0.5000)
Cd (0.0000, 0.5000, 0.0000)
Cd (0.0094, 0.3569, 0.3547)
Cd (0.2939, 0.5058, 0.7813)
Cd (0.3569, 0.0094, 0.3547)
Cd (0.4942, 0.7061, 0.2187)
Cd (0.5000, 0.0000, 0.0000)
Cd (0.5058, 0.2939, 0.7813)
Cd (0.6431, 0.9906, 0.6453)
Cd (0.7061, 0.4942, 0.2187)
Cd (0.9906, 0.6431, 0.6453)

Principal peaks in the range 10 to 90 degrees two-theta, low angle first:
two_theta	intensity
30.03	26
30.79	25
31.00	33
35.03	49
35.28	42
35.76	39
35.90	62
36.14	100
39.69	42
40.61	40

=====

No. 3
Starting from the PBE geometry in Alexandria, the XRD peak list of Pm2Y5TmSc was computed for Cu Kα X-rays.
Kinematic intensities with the Lorentz-polarization factor, no thermal factor.

Structure:
Cell: 10.5504 10.5504 10.2968 Å, 90.00 90.00 149.57°
Element x y z (fractional)
Pm (0.1108, 0.8892, 0.5000)
Pm (0.1168, 0.8832, 0.9206)
Pm (0.8832, 0.1168, 0.4206)
Pm (0.8892, 0.1108, 0.0000)
Y (0.0156, 0.9844, 0.1998)
Y (0.2681, 0.7319, 0.5207)
Y (0.2998, 0.7002, 0.8853)
Y (0.3658, 0.6342, 0.2075)
Y (0.4831, 0.5169, 0.9255)
Y (0.5169, 0.4831, 0.4255)
Y (0.6342, 0.3658, 0.7075)
Y (0.7002, 0.2998, 0.3853)
Y (0.7319, 0.2681, 0.0207)
Y (0.9844, 0.0156, 0.6998)
Tm (0.4046, 0.5954, 0.6381)
Tm (0.5954, 0.4046, 0.1381)
Sc (0.1896, 0.8104, 0.2046)
Sc (0.8104, 0.1896, 0.7046)

Principal peaks in the range 10 to 90 degrees two-theta, low angle first:
two_theta	intensity
17.42	7
27.05	20
27.68	8
30.97	26
32.35	100
34.85	8
35.95	15
51.94	8
57.69	14
62.52	8

=====

No. 4
Starting from the PBE geometry in Alexandria, the XRD peak list of RbTl4Bi4 was computed for Cu Kα X-rays.
Kinematic intensities with the Lorentz-polarization factor, no thermal factor.

Structure:
Cell: 6.8731 6.8731 14.6916 Å, 90.00 90.00 90.00°
Element x y z (fractional)
Rb (0.2500, 0.7500, 0.2500)
Rb (0.7500, 0.2500, 0.7500)
Tl (0.0024, 0.2500, 0.1618)
Tl (0.2500, 0.0024, 0.6618)
Tl (0.2500, 0.4976, 0.6618)
Tl (0.4976, 0.2500, 0.1618)
Tl (0.5024, 0.7500, 0.8382)
Tl (0.7500, 0.5024, 0.3382)
Tl (0.7500, 0.9976, 0.3382)
Tl (0.9976, 0.7500, 0.8382)
Bi (0.0159, 0.2500, 0.4941)
Bi (0.2500, 0.0159, 0.9941)
Bi (0.2500, 0.4841, 0.9941)
Bi (0.4841, 0.2500, 0.4941)
Bi (0.5159, 0.7500, 0.5059)
Bi (0.7500, 0.5159, 0.0059)
Bi (0.7500, 0.9841, 0.0059)
Bi (0.9841, 0.7500, 0.5059)

Principal peaks in the range 10 to 90 degrees two-theta, low angle first:
two_theta	intensity
14.23	17
17.67	17
29.69	19
31.81	100
36.70	15
36.99	30
53.10	26
53.32	13
63.05	13
63.44	29

=====

No. 5
Starting from the PBE geometry in Alexandria, the XRD peak list of LiNdTi2O6 was computed for Cu Kα X-rays.
Kinematic intensities with the Lorentz-polarization factor, no thermal factor.

Structure:
Cell: 5.3906 5.3906 7.9100 Å, 90.00 90.00 90.00°
Element x y z (fractional)
Li (0.2500, 0.7500, 0.0000)
Li (0.7500, 0.2500, 0.0000)
Nd (0.2500, 0.7500, 0.5000)
Nd (0.7500, 0.2500, 0.5000)
Ti (0.2500, 0.2500, 0.2363)
Ti (0.2500, 0.2500, 0.7637)
Ti (0.7500, 0.7500, 0.2363)
Ti (0.7500, 0.7500, 0.7637)
O (0.0553, 0.5553, 0.2586)
O (0.0553, 0.9447, 0.7414)
O (0.2500, 0.2500, 0.0000)
O (0.2500, 0.2500, 0.5000)
O (0.4447, 0.5553, 0.7414)
O (0.4447, 0.9447, 0.2586)
O (0.5553, 0.0553, 0.7414)
O (0.5553, 0.4447, 0.2586)
O (0.7500, 0.7500, 0.0000)
O (0.7500, 0.7500, 0.5000)
O (0.9447, 0.0553, 0.2586)
O (0.9447, 0.4447, 0.7414)

Principal peaks in the range 10 to 90 degrees two-theta, low angle first:
two_theta	intensity
11.19	100
25.95	72
32.63	74
33.24	44
35.18	24
40.50	19
45.89	19
47.72	29
48.29	17
59.00	34

=====

No. 6
Starting from the PBE geometry in Alexandria, the XRD peak list of BaAcAg2Se4 was computed for Cu Kα X-rays.
Kinematic intensities with the Lorentz-polarization factor, no thermal factor.

Structure:
Cell: 7.4651 7.4651 8.3547 Å, 90.00 90.00 90.00°
Element x y z (fractional)
Ba (0.0000, 0.0000, 0.0000)
Ba (0.5000, 0.5000, 0.5000)
Ac (0.0000, 0.0000, 0.5000)
Ac (0.5000, 0.5000, 0.0000)
Ag (0.0000, 0.5000, 0.2500)
Ag (0.0000, 0.5000, 0.7500)
Ag (0.5000, 0.0000, 0.2500)
Ag (0.5000, 0.0000, 0.7500)
Se (0.2377, 0.2377, 0.7365)
Se (0.2377, 0.7623, 0.2635)
Se (0.2623, 0.2623, 0.2365)
Se (0.2623, 0.7377, 0.7635)
Se (0.7377, 0.2623, 0.7635)
Se (0.7377, 0.7377, 0.2365)
Se (0.7623, 0.2377, 0.2635)
Se (0.7623, 0.7623, 0.7365)

Principal peaks in the range 10 to 90 degrees two-theta, low angle first:
two_theta	intensity
23.84	14
27.22	100
32.16	37
33.97	66
43.32	16
44.06	56
48.80	23
56.16	30
67.28	17
67.83	14

=====

No. 7
Starting from the PBE geometry in Alexandria, the XRD peak list of SmPu2TcN4 was computed for Cu Kα X-rays.
Kinematic intensities with the Lorentz-polarization factor, no thermal factor.

Structure:
Cell: 6.1198 6.1198 11.5416 Å, 90.00 90.00 148.23°
Element x y z (fractional)
Sm (0.1153, 0.8847, 0.7500)
Sm (0.8847, 0.1153, 0.2500)
Pu (0.3687, 0.6313, 0.5486)
Pu (0.3687, 0.6313, 0.9514)
Pu (0.6313, 0.3687, 0.0486)
Pu (0.6313, 0.3687, 0.4514)
Tc (0.1460, 0.8540, 0.2500)
Tc (0.8540, 0.1460, 0.7500)
N (0.0000, 0.0000, 0.0000)
N (0.0000, 0.0000, 0.5000)
N (0.2674, 0.7326, 0.1210)
N (0.2674, 0.7326, 0.3790)
N (0.4619, 0.5381, 0.7500)
N (0.5381, 0.4619, 0.2500)
N (0.7326, 0.2674, 0.6210)
N (0.7326, 0.2674, 0.8790)

Principal peaks in the range 10 to 90 degrees two-theta, low angle first:
two_theta	intensity
27.70	81
30.37	71
30.99	28
31.81	100
36.37	23
38.63	91
42.04	27
48.51	28
49.91	24
63.98	38

=====

No. 8
Starting from the PBE geometry in Alexandria, the XRD peak list of Pm2Y7Tm4 was computed for Cu Kα X-rays.
Kinematic intensities with the Lorentz-polarization factor, no thermal factor.

Structure:
Cell: 6.1573 7.9508 9.4153 Å, 65.11 83.80 82.61°
Element x y z (fractional)
Pm (0.1543, 0.1919, 0.3842)
Pm (0.8457, 0.8081, 0.6158)
Y (0.0000, 0.5000, 0.0000)
Y (0.0764, 0.3451, 0.6934)
Y (0.2325, 0.0381, 0.0769)
Y (0.3864, 0.7303, 0.4617)
Y (0.6136, 0.2697, 0.5383)
Y (0.7675, 0.9619, 0.9231)
Y (0.9236, 0.6549, 0.3066)
Tm (0.3069, 0.8822, 0.7721)
Tm (0.4609, 0.5764, 0.1522)
Tm (0.5391, 0.4236, 0.8478)
Tm (0.6931, 0.1178, 0.2279)

Principal peaks in the range 10 to 90 degrees two-theta, low angle first:
two_theta	intensity
30.78	100
35.69	50
51.32	12
51.39	24
61.04	17
61.13	24
64.14	9
83.76	6
83.86	10
86.53	7